TaSe2O6: calculated X-ray powder pattern (a wavelength of 1.5418 Å), based on a structure optimized by DFT (GGA-PBE).

Largest 10 diffraction maxima, low angle first, 10 to 90 degrees two-theta:
| d [Å] | 2theta | I/Imax |
| --- | --- | --- |
| 6.332 | 13.99 | 45 |
| 4.255 | 20.88 | 75 |
| 3.967 | 22.41 | 62 |
| 3.214 | 27.75 | 100 |
| 2.866 | 31.21 | 79 |
| 2.521 | 35.61 | 56 |
| 1.984 | 45.74 | 26 |
| 1.893 | 48.07 | 23 |
| 1.618 | 56.90 | 46 |
| 1.559 | 59.28 | 24 |

Structural model:
```
data_TaSe2O6
_chemical_formula_sum 'Ta3 Se6 O18'
_symmetry_space_group_name_H-M 'R 3'
_symmetry_Int_Tables_number 146
_symmetry_space_group_name_Hall 'R 3'
_cell_length_a 5.0417
_cell_length_b 5.0417
_cell_length_c 18.9963
_cell_angle_alpha 90.00
_cell_angle_beta 90.00
_cell_angle_gamma 120.00
loop_
_atom_site_label
_atom_site_type_symbol
_atom_site_fract_x
_atom_site_fract_y
_atom_site_fract_z
_atom_site_occupancy
Ta1 Ta 0.0000 0.0000 0.0000 1
Se1 Se 0.0000 0.0000 0.2267 1
Se2 Se 0.0000 0.0000 0.4409 1
O1 O 0.0439 0.7055 0.9358 1
O2 O 0.0474 0.3379 0.0644 1
```


CsBr2Cl6: calculated X-ray powder pattern (a wavelength of 1.5418 Å), based on a structure optimized by DFT (GGA-PBE).

Largest 10 diffraction maxima, low angle first, 10 to 90 degrees two-theta:
| d [Å] | 2theta | I/Imax |
| --- | --- | --- |
| 7.261 | 12.19 | 62 |
| 5.327 | 16.64 | 36 |
| 4.947 | 17.93 | 45 |
| 4.824 | 18.39 | 44 |
| 4.125 | 21.54 | 100 |
| 4.096 | 21.70 | 36 |
| 3.631 | 24.52 | 43 |
| 3.527 | 25.25 | 46 |
| 3.031 | 29.47 | 52 |
| 2.986 | 29.92 | 43 |

Structural model:
```
data_CsBr2Cl6
_chemical_formula_sum 'Cs4 Br8 Cl24'
_symmetry_space_group_name_H-M 'C 1 2/c 1'
_symmetry_Int_Tables_number 15
_cell_length_a 9.9217
_cell_length_b 15.9199
_cell_length_c 10.9549
_cell_angle_alpha 90.00
_cell_angle_beta 103.47
_cell_angle_gamma 90.00
loop_
_symmetry_equiv_pos_as_xyz
'x,y,z'
'-x,-y,-z'
'-x,y,-z+1/2'
'x,-y,z+1/2'
'x+1/2,y+1/2,z'
'-x+1/2,-y+1/2,-z'
'-x+1/2,y+1/2,-z+1/2'
'x+1/2,-y+1/2,z+1/2'
loop_
_atom_site_label
_atom_site_type_symbol
_atom_site_fract_x
_atom_site_fract_y
_atom_site_fract_z
_atom_site_occupancy
Cs1 Cs 0.0000 0.1992 0.2500 1
Br1 Br 0.2473 0.4386 0.3398 1
Cl1 Cl 0.1829 0.1998 0.5827 1
Cl2 Cl 0.1996 0.4294 0.7452 1
Cl3 Cl 0.2367 0.3000 0.9383 1
```


Be2VRh2: calculated X-ray powder pattern (a wavelength of 1.5418 Å), based on a structure optimized by DFT (GGA-PBE).

Largest 10 diffraction maxima, low angle first, 10 to 90 degrees two-theta:
| d [Å] | 2theta | I/Imax |
| --- | --- | --- |
| 2.869 | 31.17 | 100 |
| 2.791 | 32.07 | 24 |
| 2.377 | 37.85 | 23 |
| 2.268 | 39.74 | 16 |
| 2.106 | 42.95 | 53 |
| 2.029 | 44.67 | 40 |
| 2.001 | 45.33 | 87 |
| 1.556 | 59.40 | 21 |
| 1.359 | 69.11 | 26 |
| 1.330 | 70.88 | 26 |

Structural model:
```
data_Be2VRh2
_chemical_formula_sum 'Be4 V2 Rh4'
_symmetry_space_group_name_H-M 'P 4/m b m'
_symmetry_Int_Tables_number 127
_symmetry_space_group_name_Hall '-P 4 2ab'
_cell_length_a 6.4157
_cell_length_b 6.4157
_cell_length_c 2.7910
_cell_angle_alpha 90.00
_cell_angle_beta 90.00
_cell_angle_gamma 90.00
loop_
_atom_site_label
_atom_site_type_symbol
_atom_site_fract_x
_atom_site_fract_y
_atom_site_fract_z
_atom_site_occupancy
Be1 Be 0.1223 0.3777 0.0000 1
V1 V 0.0000 0.0000 0.0000 1
Rh1 Rh 0.1718 0.6718 0.5000 1
```


PmHoInSn: calculated X-ray powder pattern (a wavelength of 1.5418 Å), based on a structure optimized by DFT (GGA-PBE).

Largest 10 diffraction maxima, low angle first, 10 to 90 degrees two-theta:
| d [Å] | 2theta | I/Imax |
| --- | --- | --- |
| 3.048 | 29.30 | 100 |
| 2.951 | 30.28 | 21 |
| 2.886 | 30.98 | 32 |
| 2.442 | 36.80 | 70 |
| 2.405 | 37.39 | 16 |
| 2.299 | 39.18 | 27 |
| 2.176 | 41.51 | 23 |
| 1.798 | 50.77 | 16 |
| 1.737 | 52.68 | 14 |
| 1.580 | 58.40 | 17 |

Structural model:
```
data_PmHoInSn
_chemical_formula_sum 'Pm2 Ho2 In2 Sn2'
_symmetry_space_group_name_H-M 'A m m 2'
_symmetry_Int_Tables_number 38
_cell_length_a 4.3511
_cell_length_b 4.5983
_cell_length_c 11.5457
_cell_angle_alpha 90.00
_cell_angle_beta 90.00
_cell_angle_gamma 90.00
loop_
_symmetry_equiv_pos_as_xyz
'x,y,z'
'-x,-y,z'
'-x,y,z'
'x,-y,z'
'x,y+1/2,z+1/2'
'-x,-y+1/2,z+1/2'
'-x,y+1/2,z+1/2'
'x,-y+1/2,z+1/2'
loop_
_atom_site_label
_atom_site_type_symbol
_atom_site_fract_x
_atom_site_fract_y
_atom_site_fract_z
_atom_site_occupancy
Pm1 Pm 0.0000 0.0000 0.0000 1
Ho1 Ho 0.5000 0.0000 0.7270 1
In1 In 0.5000 0.0000 0.4501 1
Sn1 Sn 0.0000 0.0000 0.2762 1
```


Sr5HgGe2: calculated X-ray powder pattern (a wavelength of 1.5418 Å), based on a structure optimized by DFT (GGA-PBE).

Largest 10 diffraction maxima, low angle first, 10 to 90 degrees two-theta:
| d [Å] | 2theta | I/Imax |
| --- | --- | --- |
| 4.766 | 18.62 | 34 |
| 3.364 | 26.50 | 32 |
| 3.066 | 29.12 | 68 |
| 2.918 | 30.64 | 100 |
| 2.615 | 34.29 | 58 |
| 2.056 | 44.04 | 14 |
| 1.849 | 49.30 | 14 |
| 1.761 | 51.91 | 22 |
| 1.617 | 56.97 | 24 |
| 1.509 | 61.45 | 20 |

Structural model:
```
data_Sr5HgGe2
_chemical_formula_sum 'Sr20 Hg4 Ge8'
_symmetry_space_group_name_H-M 'I 4/m c m'
_symmetry_Int_Tables_number 140
_symmetry_space_group_name_Hall '-I 4 2c'
_cell_length_a 8.2701
_cell_length_b 8.2701
_cell_length_c 16.4510
_cell_angle_alpha 90.00
_cell_angle_beta 90.00
_cell_angle_gamma 90.00
loop_
_atom_site_label
_atom_site_type_symbol
_atom_site_fract_x
_atom_site_fract_y
_atom_site_fract_z
_atom_site_occupancy
Sr1 Sr 0.0000 0.0000 0.0000 1
Sr2 Sr 0.1737 0.3263 0.1374 1
Hg1 Hg 0.0000 0.0000 0.2500 1
Ge1 Ge 0.1134 0.3866 0.5000 1
```


Pr3Nd6Tm2: calculated X-ray powder pattern (a wavelength of 1.5418 Å), based on a structure optimized by DFT (GGA-PBE).

Largest 10 diffraction maxima, low angle first, 10 to 90 degrees two-theta:
| d [Å] | 2theta | I/Imax |
| --- | --- | --- |
| 3.017 | 29.61 | 72 |
| 2.987 | 29.91 | 70 |
| 2.975 | 30.04 | 100 |
| 2.923 | 30.58 | 66 |
| 2.889 | 30.96 | 53 |
| 2.702 | 33.15 | 36 |
| 2.663 | 33.65 | 73 |
| 2.584 | 34.71 | 48 |
| 1.830 | 49.82 | 77 |
| 1.559 | 59.27 | 98 |

Structural model:
```
data_Pr3Nd6Tm2
_chemical_formula_sum 'Pr9 Nd18 Tm6'
_symmetry_space_group_name_H-M 'R -3 m'
_symmetry_Int_Tables_number 166
_symmetry_space_group_name_Hall '-R 3 2"'
_cell_length_a 3.6607
_cell_length_b 3.6607
_cell_length_c 98.1761
_cell_angle_alpha 90.00
_cell_angle_beta 90.00
_cell_angle_gamma 120.00
loop_
_atom_site_label
_atom_site_type_symbol
_atom_site_fract_x
_atom_site_fract_y
_atom_site_fract_z
_atom_site_occupancy
Pr1 Pr 0.0000 0.0000 0.0000 1
Pr2 Pr 0.0000 0.0000 0.3021 1
Nd1 Nd 0.0000 0.0000 0.0926 1
Nd2 Nd 0.0000 0.0000 0.1821 1
Nd3 Nd 0.0000 0.0000 0.3952 1
Tm1 Tm 0.0000 0.0000 0.4552 1
```


Rb3Nb2BiO9: calculated X-ray powder pattern (a wavelength of 1.5418 Å), based on a structure optimized by DFT (GGA-PBE).

Largest 10 diffraction maxima, low angle first, 10 to 90 degrees two-theta:
| d [Å] | 2theta | I/Imax |
| --- | --- | --- |
| 5.092 | 17.42 | 5 |
| 4.158 | 21.37 | 15 |
| 2.940 | 30.40 | 100 |
| 2.079 | 43.53 | 32 |
| 1.860 | 48.98 | 6 |
| 1.698 | 54.02 | 41 |
| 1.470 | 63.25 | 20 |
| 1.315 | 71.79 | 18 |
| 1.200 | 79.92 | 7 |
| 1.111 | 87.84 | 22 |

Structural model:
```
data_Rb3Nb2BiO9
_chemical_formula_sum 'Rb3 Nb2 Bi1 O9'
_symmetry_space_group_name_H-M 'P -3 m 1'
_symmetry_Int_Tables_number 164
_symmetry_space_group_name_Hall '-P 3 2"'
_cell_length_a 5.8795
_cell_length_b 5.8795
_cell_length_c 7.2052
_cell_angle_alpha 90.00
_cell_angle_beta 90.00
_cell_angle_gamma 120.00
loop_
_atom_site_label
_atom_site_type_symbol
_atom_site_fract_x
_atom_site_fract_y
_atom_site_fract_z
_atom_site_occupancy
Rb1 Rb 0.0000 0.0000 0.0000 1
Rb2 Rb 0.3333 0.6667 0.6653 1
Nb1 Nb 0.3333 0.6667 0.1608 1
Bi1 Bi 0.0000 0.0000 0.5000 1
O1 O 0.0000 0.5000 0.0000 1
O2 O 0.1721 0.3442 0.3247 1
```


SrHoS: calculated X-ray powder pattern (a wavelength of 1.5418 Å), based on a structure optimized by DFT (GGA-PBE).

Largest 10 diffraction maxima, low angle first, 10 to 90 degrees two-theta:
| d [Å] | 2theta | I/Imax |
| --- | --- | --- |
| 5.653 | 15.68 | 45 |
| 4.029 | 22.06 | 60 |
| 3.967 | 22.41 | 100 |
| 3.834 | 23.20 | 52 |
| 2.827 | 31.65 | 49 |
| 2.777 | 32.23 | 78 |
| 2.757 | 32.48 | 45 |
| 2.275 | 39.61 | 88 |
| 1.626 | 56.59 | 21 |
| 1.614 | 57.06 | 30 |

Structural model:
```
data_SrHoS
_chemical_formula_sum 'Sr2 Ho2 S2'
_symmetry_space_group_name_H-M 'A m m 2'
_symmetry_Int_Tables_number 38
_cell_length_a 3.8337
_cell_length_b 7.9332
_cell_length_c 8.0578
_cell_angle_alpha 90.00
_cell_angle_beta 90.00
_cell_angle_gamma 90.00
loop_
_symmetry_equiv_pos_as_xyz
'x,y,z'
'-x,-y,z'
'-x,y,z'
'x,-y,z'
'x,y+1/2,z+1/2'
'-x,-y+1/2,z+1/2'
'-x,y+1/2,z+1/2'
'x,-y+1/2,z+1/2'
loop_
_atom_site_label
_atom_site_type_symbol
_atom_site_fract_x
_atom_site_fract_y
_atom_site_fract_z
_atom_site_occupancy
Sr1 Sr 0.0000 0.0000 0.0000 1
Ho1 Ho 0.0000 0.0000 0.5064 1
S1 S 0.5000 0.0000 0.7243 1
```


ThZrPd4: calculated X-ray powder pattern (a wavelength of 1.5418 Å), based on a structure optimized by DFT (GGA-PBE).

Largest 10 diffraction maxima, low angle first, 10 to 90 degrees two-theta:
| d [Å] | 2theta | I/Imax |
| --- | --- | --- |
| 4.339 | 20.47 | 11 |
| 2.838 | 31.52 | 11 |
| 2.567 | 34.96 | 17 |
| 2.446 | 36.74 | 100 |
| 2.347 | 38.35 | 10 |
| 2.289 | 39.37 | 35 |
| 2.273 | 39.65 | 10 |
| 2.237 | 40.32 | 25 |
| 2.168 | 41.67 | 9 |
| 1.350 | 69.67 | 15 |

Structural model:
```
data_ThZrPd4
_chemical_formula_sum 'Th4 Zr4 Pd16'
_symmetry_space_group_name_H-M 'P n m a'
_symmetry_Int_Tables_number 62
_cell_length_a 7.5051
_cell_length_b 4.5773
_cell_length_c 13.6390
_cell_angle_alpha 90.00
_cell_angle_beta 90.00
_cell_angle_gamma 90.00
loop_
_symmetry_equiv_pos_as_xyz
'x,y,z'
'-x,-y,-z'
'-x+1/2,-y,z+1/2'
'x+1/2,y,-z+1/2'
'x+1/2,-y+1/2,-z+1/2'
'-x+1/2,y+1/2,z+1/2'
'-x,y+1/2,-z'
'x,-y+1/2,z'
loop_
_atom_site_label
_atom_site_type_symbol
_atom_site_fract_x
_atom_site_fract_y
_atom_site_fract_z
_atom_site_occupancy
Th1 Th 0.2325 0.2500 0.2271 1
Zr1 Zr 0.2223 0.7500 0.4559 1
Pd1 Pd 0.0314 0.2500 0.7949 1
Pd2 Pd 0.0454 0.7500 0.9358 1
Pd3 Pd 0.0462 0.2500 0.4014 1
Pd4 Pd 0.1892 0.2500 0.5947 1
```


Tm3ScBi3: calculated X-ray powder pattern (a wavelength of 1.5418 Å), based on a structure optimized by DFT (GGA-PBE).

Largest 10 diffraction maxima, low angle first, 10 to 90 degrees two-theta:
| d [Å] | 2theta | I/Imax |
| --- | --- | --- |
| 4.426 | 20.06 | 90 |
| 3.106 | 28.74 | 95 |
| 2.863 | 31.24 | 56 |
| 2.767 | 32.36 | 100 |
| 2.555 | 35.12 | 46 |
| 2.543 | 35.30 | 68 |
| 2.460 | 36.52 | 73 |
| 2.288 | 39.39 | 29 |
| 1.973 | 45.99 | 31 |
| 1.816 | 50.25 | 27 |

Structural model:
```
data_Tm3ScBi3
_chemical_formula_sum 'Tm18 Sc6 Bi18'
_symmetry_space_group_name_H-M 'R -3'
_symmetry_Int_Tables_number 148
_symmetry_space_group_name_Hall '-R 3'
_cell_length_a 8.8515
_cell_length_b 8.8515
_cell_length_c 18.6390
_cell_angle_alpha 90.00
_cell_angle_beta 90.00
_cell_angle_gamma 120.00
loop_
_atom_site_label
_atom_site_type_symbol
_atom_site_fract_x
_atom_site_fract_y
_atom_site_fract_z
_atom_site_occupancy
Tm1 Tm 0.0011 0.2502 0.0804 1
Sc1 Sc 0.0000 0.0000 0.3340 1
Bi1 Bi 0.0027 0.3990 0.9155 1
```


BaSn5I12: calculated X-ray powder pattern (a wavelength of 1.5418 Å), based on a structure optimized by DFT (GGA-PBE).

Largest 10 diffraction maxima, low angle first, 10 to 90 degrees two-theta:
| d [Å] | 2theta | I/Imax |
| --- | --- | --- |
| 7.748 | 11.42 | 57 |
| 3.908 | 22.76 | 28 |
| 3.586 | 24.83 | 100 |
| 3.185 | 28.01 | 57 |
| 3.181 | 28.05 | 20 |
| 2.795 | 32.02 | 31 |
| 2.460 | 36.52 | 41 |
| 2.338 | 38.51 | 20 |
| 2.307 | 39.05 | 53 |
| 2.177 | 41.49 | 26 |

Structural model:
```
data_BaSn5I12
_chemical_formula_sum 'Ba2 Sn10 I24'
_symmetry_space_group_name_H-M 'C 1 2/m 1'
_symmetry_Int_Tables_number 12
_cell_length_a 8.0754
_cell_length_b 14.0259
_cell_length_c 15.4961
_cell_angle_alpha 90.00
_cell_angle_beta 90.05
_cell_angle_gamma 90.00
loop_
_symmetry_equiv_pos_as_xyz
'x,y,z'
'-x,-y,-z'
'-x,y,-z'
'x,-y,z'
'x+1/2,y+1/2,z'
'-x+1/2,-y+1/2,-z'
'-x+1/2,y+1/2,-z'
'x+1/2,-y+1/2,z'
loop_
_atom_site_label
_atom_site_type_symbol
_atom_site_fract_x
_atom_site_fract_y
_atom_site_fract_z
_atom_site_occupancy
Ba1 Ba 0.0000 0.0000 0.0000 1
Sn1 Sn 0.0000 0.1667 0.5000 1
Sn2 Sn 0.0000 0.3333 0.0000 1
Sn3 Sn 0.0000 0.5000 0.5000 1
I1 I 0.1424 0.5000 0.1220 1
I2 I 0.1660 0.0000 0.3840 1
I3 I 0.1660 0.3334 0.3844 1
I4 I 0.1785 0.1785 0.1219 1
```


Tb2Tm7Th2: calculated X-ray powder pattern (a wavelength of 1.5418 Å), based on a structure optimized by DFT (GGA-PBE).

Largest 10 diffraction maxima, low angle first, 10 to 90 degrees two-theta:
| d [Å] | 2theta | I/Imax |
| --- | --- | --- |
| 3.457 | 25.77 | 18 |
| 2.948 | 30.32 | 14 |
| 2.852 | 31.37 | 74 |
| 2.793 | 32.04 | 32 |
| 2.760 | 32.44 | 100 |
| 2.621 | 34.21 | 75 |
| 1.996 | 45.44 | 17 |
| 1.804 | 50.61 | 17 |
| 1.637 | 56.18 | 13 |
| 1.629 | 56.50 | 13 |

Structural model:
```
data_Tb2Tm7Th2
_chemical_formula_sum 'Tb4 Tm14 Th4'
_symmetry_space_group_name_H-M 'C 1 2/m 1'
_symmetry_Int_Tables_number 12
_cell_length_a 11.2045
_cell_length_b 11.4103
_cell_length_c 5.9530
_cell_angle_alpha 90.00
_cell_angle_beta 113.75
_cell_angle_gamma 90.00
loop_
_symmetry_equiv_pos_as_xyz
'x,y,z'
'-x,-y,-z'
'-x,y,-z'
'x,-y,z'
'x+1/2,y+1/2,z'
'-x+1/2,-y+1/2,-z'
'-x+1/2,y+1/2,-z'
'x+1/2,-y+1/2,z'
loop_
_atom_site_label
_atom_site_type_symbol
_atom_site_fract_x
_atom_site_fract_y
_atom_site_fract_z
_atom_site_occupancy
Tb1 Tb 0.2366 0.0000 0.0868 1
Tm1 Tm 0.0000 0.0000 0.5000 1
Tm2 Tm 0.0930 0.5000 0.3064 1
Tm3 Tm 0.1729 0.2334 0.6655 1
Th1 Th 0.0000 0.2127 0.0000 1
```